No. 1
Computed powder X-ray diffraction pattern
Compound: ScC2S
Radiation: CuKα
Structure: DFT lattice parameters and positions (GGA-PBE)
Neutral-atom scattering factors, no anomalous dispersion.

The 12 most intense peaks (2θ from 10° to 90°), low angle first:
hkl 2 0 0, 2.627 Å, 2θ 34.13, rel. 38; hkl 1 1 2, 2.453 Å, 2θ 36.63, rel. 100; hkl 2 1 1, 2.211 Å, 2θ 40.81, rel. 6; hkl 1 0 3, 2.012 Å, 2θ 45.07, rel. 2; hkl 2 2 0, 1.858 Å, 2θ 49.03, rel. 23; hkl 0 0 4, 1.633 Å, 2θ 56.34, rel. 4; hkl 3 1 2, 1.481 Å, 2θ 62.74, rel. 34; hkl 2 0 4, 1.387 Å, 2θ 67.54, rel. 18; hkl 4 0 0, 1.314 Å, 2θ 71.87, rel. 6; hkl 2 2 4, 1.227 Å, 2θ 77.88, rel. 7; hkl 4 2 0, 1.175 Å, 2θ 82.01, rel. 8; hkl 3 3 2, 1.158 Å, 2θ 83.47, rel. 7

a b c (Å): 5.255 5.255 6.532
angles (deg): 90.00 90.00 90.00
Space group I-42d (No. 122)
Asymmetric unit:
Sc: 0.000 0.000 0.000 (multiplicity 4)
C: 0.161 0.250 0.625 (multiplicity 8)
S: 0.000 0.000 0.500 (multiplicity 4)


No. 2
Computed powder X-ray diffraction pattern
Compound: TaCr2InMo
Radiation: CuKα
Structure: DFT lattice parameters and positions (GGA-PBE)
Neutral-atom scattering factors, no anomalous dispersion.

The 12 most intense peaks (2θ from 10° to 90°), low angle first:
hkl 1 0 1, 3.326 Å, 2θ 26.80, rel. 87; hkl 1 1 0, 3.217 Å, 2θ 27.73, rel. 84; hkl 1 1 1, 2.685 Å, 2θ 33.37, rel. 92; hkl 0 0 2, 2.438 Å, 2θ 36.87, rel. 61; hkl 2 0 0, 2.274 Å, 2θ 39.63, rel. 100; hkl 1 1 2, 1.943 Å, 2θ 46.76, rel. 41; hkl 2 1 1, 1.877 Å, 2θ 48.49, rel. 35; hkl 2 0 2, 1.663 Å, 2θ 55.24, rel. 73; hkl 2 2 0, 1.608 Å, 2θ 57.29, rel. 33; hkl 3 1 1, 1.380 Å, 2θ 67.94, rel. 22; hkl 2 2 2, 1.342 Å, 2θ 70.10, rel. 35; hkl 3 1 2, 1.239 Å, 2θ 76.97, rel. 20

a b c (Å): 4.549 4.549 4.876
angles (deg): 90.00 90.00 90.00
Space group P4/mmm (No. 123)
Asymmetric unit:
Ta: 0.000 0.000 0.000 (multiplicity 1)
Cr: 0.000 0.500 0.500 (multiplicity 2)
In: 0.500 0.500 0.500 (multiplicity 1)
Mo: 0.500 0.500 0.000 (multiplicity 1)


Q: Which formula does entry 1 have?
A: ScC2S


Repeat the second record exactly.
Computed powder X-ray diffraction pattern
Compound: TaCr2InMo
Radiation: CuKα
Structure: DFT lattice parameters and positions (GGA-PBE)
Neutral-atom scattering factors, no anomalous dispersion.

The 12 most intense peaks (2θ from 10° to 90°), low angle first:
hkl 1 0 1, 3.326 Å, 2θ 26.80, rel. 87; hkl 1 1 0, 3.217 Å, 2θ 27.73, rel. 84; hkl 1 1 1, 2.685 Å, 2θ 33.37, rel. 92; hkl 0 0 2, 2.438 Å, 2θ 36.87, rel. 61; hkl 2 0 0, 2.274 Å, 2θ 39.63, rel. 100; hkl 1 1 2, 1.943 Å, 2θ 46.76, rel. 41; hkl 2 1 1, 1.877 Å, 2θ 48.49, rel. 35; hkl 2 0 2, 1.663 Å, 2θ 55.24, rel. 73; hkl 2 2 0, 1.608 Å, 2θ 57.29, rel. 33; hkl 3 1 1, 1.380 Å, 2θ 67.94, rel. 22; hkl 2 2 2, 1.342 Å, 2θ 70.10, rel. 35; hkl 3 1 2, 1.239 Å, 2θ 76.97, rel. 20

a b c (Å): 4.549 4.549 4.876
angles (deg): 90.00 90.00 90.00
Space group P4/mmm (No. 123)
Asymmetric unit:
Ta: 0.000 0.000 0.000 (multiplicity 1)
Cr: 0.000 0.500 0.500 (multiplicity 2)
In: 0.500 0.500 0.500 (multiplicity 1)
Mo: 0.500 0.500 0.000 (multiplicity 1)


Q: Number 2 is which compound?
A: TaCr2InMo